(1)
This entry pairs a crystal structure of KAu2Se2 with its computed PXRD pattern. Radiation: Cu Kα, 1.54184 Å. Structure: DFT lattice parameters and positions (GGA-PBE).
Kinematic intensities with the Lorentz-polarization factor, no thermal factor.

The 10 most intense peaks (15° ≤ 2θ ≤ 90°), by intensity:
hkl  2θ/deg  I (rel.)
2 2 -2  33.6  100
1 1 -1  16.6  70
1 1 -2  30.0  69
1 1 1  23.8  64
0 4 0  34.8  52
3 1 -1  27.3  49
4 0 0  39.3  48
2 2 2  48.7  42
2 2 0  26.0  37
1 3 0  27.7  33

Structure:
Cell lengths 10.379, 10.309, 6.318 Å; angles 90.00, 117.81, 90.00 degrees
Space group C2/c (No. 15)
Unique sites:
K 0.000 0.203 0.250 x4
Au 0.000 0.500 0.000 x4
Au 0.250 0.250 0.000 x4
Se 0.236 0.033 0.830 x8

---

(2)
This entry pairs a crystal structure of K2AuSe4 with its computed PXRD pattern. Radiation: Cu Kα, 1.54184 Å. Structure: DFT lattice parameters and positions (GGA-PBE).
Kinematic intensities with the Lorentz-polarization factor, no thermal factor.

The 10 most intense peaks (15° ≤ 2θ ≤ 90°), by intensity:
hkl  2θ/deg  I (rel.)
1 1 2  20.8  100
1 0 3  24.5  70
2 1 1  24.2  47
3 1 0  32.8  46
4 2 0  47.1  46
2 0 4  36.5  44
3 2 3  44.1  39
3 1 2  36.1  33
2 1 5  44.4  29
2 1 3  32.2  27

Structure:
Cell lengths 8.639, 8.639, 11.999 Å; angles 90.00, 90.00, 90.00 degrees
Space group I-42d (No. 122)
Unique sites:
K 0.128 0.250 0.125 x8
Au 0.000 0.000 0.500 x4
Se 0.122 0.249 0.414 x16

---

(3)
This entry pairs a crystal structure of KAuSe5 with its computed PXRD pattern. Radiation: Cu Kα, 1.54184 Å. Structure: DFT lattice parameters and positions (GGA-PBE).
Kinematic intensities with the Lorentz-polarization factor, no thermal factor.

The 10 most intense peaks (15° ≤ 2θ ≤ 90°), by intensity:
hkl  2θ/deg  I (rel.)
2 0 4  28.8  100
1 3 2  27.6  61
1 1 2  16.3  59
2 4 4  43.1  37
0 4 0  31.4  28
2 1 1  21.4  21
0 0 8  43.3  17
1 2 3  24.3  14
3 3 6  50.2  14
1 3 6  41.4  13

Structure:
Cell lengths 9.258, 11.379, 16.729 Å; angles 90.00, 90.00, 90.00 degrees
Space group Ibam (No. 72)
Unique sites:
K 0.000 0.000 0.000 x4
K 0.000 0.500 0.250 x4
Au 0.000 0.131 0.250 x8
Se 0.083 0.356 0.000 x8
Se 0.202 0.126 0.155 x16
Se 0.230 0.327 0.115 x16